No. 1
For Co2PdI4Br4, a crystal structure in OQMD, relaxed with GGA-PBE gives the theoretical powder diffractogram in this record (Cu Kα, 1.54184 Å).

Main lines, low angle first (10 to 90 degrees two-theta):
| 2θ (°) | I_rel |
| --- | --- |
| 11.79 | 46.5 |
| 16.58 | 49.1 |
| 17.18 | 60.5 |
| 24.49 | 45.2 |
| 26.21 | 25.4 |
| 26.89 | 39.7 |
| 27.26 | 100.0 |
| 39.84 | 36.3 |
| 42.37 | 41.0 |
| 45.13 | 36.3 |

```
Co2PdI4Br4
1.0
6.760 -4.520 0.000
6.760 4.520 0.000
-0.621 0.000 7.259
Co Pd I Br
2 1 4 4
Direct
0.212 0.212 0.357 Co
0.788 0.788 0.643 Co
0.000 0.000 0.000 Pd
0.092 0.685 0.827 I
0.315 0.908 0.173 I
0.685 0.092 0.827 I
0.908 0.315 0.173 I
0.182 0.182 0.660 Br
0.373 0.373 0.296 Br
0.627 0.627 0.704 Br
0.818 0.818 0.340 Br
```



No. 2
For Na3CoBr6, a crystal structure in OQMD, relaxed with GGA-PBE gives the theoretical powder diffractogram in this record (Cu Kα, 1.54184 Å).

Main lines, low angle first (10 to 90 degrees two-theta):
| 2θ (°) | I_rel |
| --- | --- |
| 14.11 | 18.5 |
| 15.80 | 40.0 |
| 28.45 | 100.0 |
| 35.77 | 9.2 |
| 37.91 | 31.2 |
| 38.68 | 13.5 |
| 43.31 | 19.0 |
| 43.90 | 21.8 |
| 50.30 | 18.0 |
| 65.18 | 9.1 |

```
Na3CoBr6
1.0
7.237 0.000 0.000
-3.618 6.267 0.000
0.000 0.000 12.579
Na Co Br
6 2 12
Direct
0.000 0.000 0.250 Na
0.000 0.000 0.750 Na
0.333 0.667 0.043 Na
0.333 0.667 0.457 Na
0.667 0.333 0.543 Na
0.667 0.333 0.957 Na
0.333 0.667 0.750 Co
0.667 0.333 0.250 Co
0.064 0.387 0.863 Br
0.064 0.677 0.637 Br
0.323 0.387 0.637 Br
0.323 0.936 0.863 Br
0.387 0.064 0.363 Br
0.387 0.323 0.137 Br
0.613 0.677 0.863 Br
0.613 0.936 0.637 Br
0.677 0.064 0.137 Br
0.677 0.613 0.363 Br
0.936 0.323 0.363 Br
0.936 0.613 0.137 Br
```